[1]
Computed powder diffraction line list of Er5TlTc2 for Cu Kα (weighted mean of Kα1 and Kα2), from a crystal structure in Alexandria, relaxed with GGA-PBE.
Intensities are scaled so that the largest is 100.

```
data_Er5TlTc2
_chemical_formula_sum 'Er20 Tl4 Tc8'
_space_group_name_H-M_alt 'I 4/m c m'
_space_group_IT_number 140
_space_group_name_Hall '-I 4 2c'
_cell_length_a 7.4765
_cell_length_b 7.4765
_cell_length_c 14.6610
_cell_angle_alpha 90.00
_cell_angle_beta 90.00
_cell_angle_gamma 90.00
loop_
_atom_site_label
_atom_site_type_symbol
_atom_site_fract_x
_atom_site_fract_y
_atom_site_fract_z
Er1 Er 0.0000 0.0000 0.0000
Er2 Er 0.1735 0.3265 0.1349
Tl1 Tl 0.0000 0.0000 0.2500
Tc1 Tc 0.1186 0.3814 0.5000
```

Principal peaks in the range 10 to 90 degrees two-theta, in order of falling intensity:
two_theta	intensity	h k l
32.44	100	2 1 3
34.26	85	2 0 4
38.06	66	3 1 0
29.66	34	1 1 4
58.08	29	3 3 4
33.91	26	2 2 0
64.31	26	3 1 8
40.94	24	2 1 5
68.98	19	5 1 4
53.94	18	4 1 3
27.36	18	2 1 1
49.75	18	0 0 8


[2]
Computed powder diffraction line list of Er2Tm2Tc for Cu Kα (weighted mean of Kα1 and Kα2), from a crystal structure in Alexandria, relaxed with GGA-PBE.
Intensities are scaled so that the largest is 100.

```
data_Er2Tm2Tc
_chemical_formula_sum 'Er8 Tm8 Tc4'
_space_group_name_H-M_alt 'C 1 2/m 1'
_space_group_IT_number 12
_cell_length_a 11.9482
_cell_length_b 3.8358
_cell_length_c 12.6338
_cell_angle_alpha 90.00
_cell_angle_beta 112.60
_cell_angle_gamma 90.00
loop_
_space_group_symop_operation_xyz
'x,y,z'
'-x,-y,-z'
'-x,y,-z'
'x,-y,z'
'x+1/2,y+1/2,z'
'-x+1/2,-y+1/2,-z'
'-x+1/2,y+1/2,-z'
'x+1/2,-y+1/2,z'
loop_
_atom_site_label
_atom_site_type_symbol
_atom_site_fract_x
_atom_site_fract_y
_atom_site_fract_z
Er1 Er 0.0039 0.0000 0.1667
Er2 Er 0.1504 0.5000 0.6935
Tm1 Tm 0.1234 0.0000 0.4507
Tm2 Tm 0.1794 0.5000 0.0698
Tc1 Tc 0.1801 0.5000 0.3045
```

Principal peaks in the range 10 to 90 degrees two-theta, in order of falling intensity:
two_theta	intensity	h k l
32.93	100	2 0 3
31.56	76	1 1 -3
33.77	70	3 1 0
32.45	59	3 1 -1
35.56	41	2 0 -5
47.40	36	0 2 0
35.21	36	4 0 -4
30.65	34	1 1 2
59.26	25	7 1 -3
35.95	25	1 1 3
31.76	24	4 0 -3
55.00	23	5 1 -6